The following is a simulated XRD peak list of LiTi4VO8. It was derived from DFT lattice parameters and positions (GGA+U), using a wavelength of 1.5418 Å.

Crystal structure
Unit cell a=5.8748 b=5.9047 c=5.9052 alpha=119.69 beta=118.93 gamma=91.01
Space group P-1 (No. 2)
Symmetry-distinct sites (fractional):
Li  0.0000  0.0000  0.0000
Ti  0.0000  0.5000  0.5000
Ti  0.5000  0.0000  0.0000
Ti  0.5000  0.0000  0.5000
Ti  0.5000  0.5000  0.0000
V  0.0000  0.0000  0.5000
O  0.2242  0.7293  0.5157
O  0.2453  0.2450  0.5035
O  0.2520  0.7510  0.0006
O  0.3000  0.2623  0.9880

Most intense lines, 2θ from 15° to 90°, in order of falling intensity:
hkl	2θ (°)	I (rel.)
1 0 -1	18.45	100.0
0 0 2	42.80	51.0
2 -2 0	43.06	49.3
2 2 -2	43.87	41.7
0 4 -2	62.96	36.2
0 1 0	18.34	23.8
1 -2 1	35.35	17.0
1 0 1	35.24	16.2
2 0 0	37.21	15.8
2 -2 2	62.03	13.9

The following is a simulated XRD peak list of Li3Fe3O8. It was derived from DFT lattice parameters and positions (GGA+U), using a wavelength of 1.5418 Å.

Crystal structure
Unit cell a=5.8613 b=5.8613 c=9.9067 alpha=90.00 beta=90.00 gamma=120.00
Space group P6_3mc (No. 186)
Symmetry-distinct sites (fractional):
Li  0.0000  0.0000  0.0000
Li  0.3333  0.6667  0.3874
Li  0.3333  0.6667  0.9989
Fe  0.1686  0.3371  0.7145
O  0.0000  0.0000  0.3192
O  0.0342  0.5171  0.8199
O  0.1541  0.3082  0.1121
O  0.3333  0.6667  0.5994

Most intense lines, 2θ from 15° to 90°, in order of falling intensity:
hkl	2θ (°)	I (rel.)
0 0 2	17.91	100.0
1 0 1	19.65	39.2
2 0 3	45.05	39.0
2 0 1	36.55	32.7
2 0 2	39.91	26.4
2 0 5	59.16	22.6
2 2 0	63.49	18.0
1 1 2	35.59	13.6
2 2 2	66.55	12.5
2 0 4	51.56	11.8

The following is a simulated XRD peak list of FeNiP2O9. It was derived from DFT lattice parameters and positions (GGA+U), using a wavelength of 1.5418 Å.

Crystal structure
Unit cell a=14.0912 b=6.3172 c=7.7398 alpha=90.00 beta=90.00 gamma=90.00
Space group Pnma (No. 62)
Symmetry-distinct sites (fractional):
Fe  0.1190  0.2500  0.1544
Ni  0.0000  0.0000  0.5000
P  0.0615  0.7500  0.1505
P  0.1878  0.7500  0.6096
O  0.0177  0.2500  0.9820
O  0.0202  0.7500  0.3385
O  0.0465  0.2500  0.3592
O  0.1268  0.5563  0.1343
O  0.1280  0.5461  0.5981
O  0.2319  0.2500  0.9708
O  0.2486  0.7500  0.7770

Most intense lines, 2θ from 15° to 90°, in order of falling intensity:
hkl	2θ (°)	I (rel.)
1 2 1	31.24	100.0
1 0 2	23.84	99.2
2 0 1	17.02	92.0
1 1 1	19.20	83.5
3 0 1	22.12	82.2
3 0 2	29.92	44.4
0 1 1	18.13	43.2
5 0 1	33.85	36.4
5 2 3	56.45	35.9
4 0 1	27.82	35.6